Simulated X-ray diffraction stick pattern
Compound: LiMnP2O8
Radiation: Cu Kα, 1.54184 Å
Structure: a DFT-relaxed cell (PBE+U, Alexandria)
Lines closer than 0.1° are merged.

Top 10 peaks for 2θ = 10–90°, sorted by position:
15.11 deg, I 71, hkl 1 1 0
15.59 deg, I 100, hkl 1 1 -1
21.42 deg, I 15, hkl 1 1 1
22.09 deg, I 31, hkl 0 0 2
22.43 deg, I 13, hkl 1 1 -2
28.88 deg, I 73, hkl 2 2 -1
30.49 deg, I 19, hkl 2 2 0
30.71 deg, I 42, hkl 1 1 2
31.93 deg, I 13, hkl 1 1 -3
32.26 deg, I 14, hkl 3 1 -2

Cell: 9.0978 8.4471 8.9891 Å, 90.00 116.44 90.00°
Space group Cc (No. 9)
Inequivalent atoms, fractional coordinates:
Li (0.0000, 0.2320, 0.0000) [4 per cell]
Mn (0.1485, 0.3513, 0.7608) [4 per cell]
P (0.3769, 0.4308, 0.1542) [4 per cell]
P (0.4246, 0.0737, 0.8659) [4 per cell]
O (0.0083, 0.4725, 0.2525) [4 per cell]
O (0.0456, 0.3350, 0.5219) [4 per cell]
O (0.2364, 0.3451, 0.0023) [4 per cell]
O (0.2862, 0.1861, 0.7528) [4 per cell]
O (0.2977, 0.4905, 0.2674) [4 per cell]
O (0.3635, 0.0779, 0.4138) [4 per cell]
O (0.4660, 0.4413, 0.6117) [4 per cell]
O (0.4939, 0.3008, 0.2724) [4 per cell]


Simulated X-ray diffraction stick pattern
Compound: Li3Mn3P4O16
Radiation: Cu Kα, 1.54184 Å
Structure: a DFT-relaxed cell (PBE+U, Alexandria)
Lines closer than 0.1° are merged.

Top 10 peaks for 2θ = 10–90°, sorted by position:
11.38 deg, I 100, hkl 0 1 0
18.78 deg, I 7, hkl 1 0 -2
20.16 deg, I 10, hkl 1 -2 0
20.34 deg, I 9, hkl 1 1 -2
24.30 deg, I 19, hkl 2 -2 0
27.83 deg, I 10, hkl 1 0 -3
28.05 deg, I 34, hkl 2 1 -2
31.47 deg, I 8, hkl 2 -3 0
35.50 deg, I 6, hkl 2 2 -2
37.04 deg, I 11, hkl 3 0 0

Cell: 8.6142 9.2262 10.0451 Å, 106.82 106.18 110.84°
Space group P-1 (No. 2)
Inequivalent atoms, fractional coordinates:
Li (0.0745, 0.4722, 0.2841) [2 per cell]
Li (0.2645, 0.3430, 0.7492) [2 per cell]
Li (0.4169, 0.4090, 0.3246) [2 per cell]
Mn (0.1553, 0.8942, 0.3453) [2 per cell]
Mn (0.1937, 0.9296, 0.9245) [2 per cell]
Mn (0.4808, 0.0466, 0.7634) [2 per cell]
P (0.0127, 0.1763, 0.4026) [2 per cell]
P (0.0893, 0.2515, 0.9861) [2 per cell]
P (0.4045, 0.7370, 0.8845) [2 per cell]
P (0.4580, 0.7759, 0.4542) [2 per cell]
O (0.0167, 0.1775, 0.5576) [2 per cell]
O (0.0988, 0.2976, 0.8509) [2 per cell]
O (0.0989, 0.3530, 0.4103) [2 per cell]
O (0.1219, 0.0857, 0.3480) [2 per cell]
O (0.1272, 0.8540, 0.0716) [2 per cell]
O (0.1730, 0.1301, 0.0021) [2 per cell]
O (0.1806, 0.3998, 0.1446) [2 per cell]
O (0.1932, 0.9392, 0.7259) [2 per cell]
O (0.2066, 0.7149, 0.8421) [2 per cell]
O (0.2530, 0.7383, 0.3841) [2 per cell]
O (0.4079, 0.5818, 0.7838) [2 per cell]
O (0.4331, 0.0532, 0.3869) [2 per cell]
O (0.4439, 0.1791, 0.6499) [2 per cell]
O (0.4723, 0.6292, 0.4817) [2 per cell]
O (0.4784, 0.0911, 0.1262) [2 per cell]
O (0.4925, 0.7760, 0.0575) [2 per cell]